Simulated XRD peak list of MgW2O4 for Cu Ka, from a DFT-relaxed cell (GGA+U, Alexandria).
Kinematic intensities with the Lorentz-polarization factor, no thermal factor.

The 10 most intense peaks (2θ from 10° to 80°), sorted by position:
2θ (°)	d (Å)	I/Imax	(hkl)
16.2	5.477	67	0 0 3
20.2	4.403	91	0 1 2
27.6	3.227	68	1 0 4
34.0	2.638	72	1 1 3
34.8	2.575	100	0 2 1
36.1	2.485	37	2 0 2
41.0	2.201	36	0 2 4
52.4	1.745	38	0 2 7
55.5	1.657	33	0 3 3
57.1	1.613	39	2 0 8

```
data_MgW2O4
_chemical_formula_sum 'Mg6 W12 O24'
_symmetry_space_group_name_H-M 'R 3 m'
_symmetry_Int_Tables_number 160
_symmetry_space_group_name_Hall 'R 3 -2"'
_cell_length_a 6.0217
_cell_length_b 6.0217
_cell_length_c 16.4315
_cell_angle_alpha 90.00
_cell_angle_beta 90.00
_cell_angle_gamma 120.00
loop_
_atom_site_label
_atom_site_type_symbol
_atom_site_fract_x
_atom_site_fract_y
_atom_site_fract_z
Mg1 Mg 0.0000 0.0000 0.0000
Mg2 Mg 0.0000 0.0000 0.3864
W1 W 0.0000 0.0000 0.6483
W2 W 0.1870 0.3740 0.8404
O1 O 0.0000 0.0000 0.2669
O2 O 0.0000 0.0000 0.7750
O3 O 0.0258 0.5129 0.7511
O4 O 0.1744 0.3489 0.5821
```